# CsTlNiF6
Theoretical powder X-ray diffraction pattern, Cu Kα X-rays. Input: a crystal structure in Alexandria, relaxed with PBE+U.
Neutral-atom scattering factors, no anomalous dispersion.

Crystal structure
Lattice parameters (Å, degrees): 7.720 7.720 7.720 120.83 117.43 91.54
Element x y z (fractional)
1 Cs 0.341 0.091 0.250
2 Cs 0.659 0.909 0.750
3 Tl 0.000 0.500 0.500
4 Tl 0.500 0.500 0.000
5 Ni 0.000 0.000 0.500
6 Ni 0.000 0.500 0.000
7 F 0.046 0.796 0.250
8 F 0.052 0.401 0.214
9 F 0.052 0.838 0.652
10 F 0.313 0.162 0.714
11 F 0.313 0.599 0.152
12 F 0.347 0.597 0.750
13 F 0.653 0.403 0.250
14 F 0.687 0.401 0.848
15 F 0.687 0.838 0.286
16 F 0.948 0.162 0.348
17 F 0.948 0.599 0.786
18 F 0.954 0.204 0.750

Top 12 peaks for 2θ = 15–90°, low angle first:
2θ/deg	I (rel.)
16.46	27.0
23.34	18.8
26.45	100.0
27.21	43.0
27.46	23.0
27.74	23.9
28.69	40.3
42.97	22.7
43.66	19.6
47.14	35.9
47.71	14.8
56.12	16.8